Diffraction record for Sr2CdCoO4. The XRD peak list is simulated, not measured: it uses a GGA+U-relaxed structure and λ = 1.5418 Å (Cu Kα).
Intensities are scaled so that the largest is 100.

Cell and atoms:
```
data_Sr2CdCoO4
_chemical_formula_sum 'Sr8 Cd4 Co4 O16'
_cell_length_a 9.764
_cell_length_b 9.588
_cell_length_c 6.930
_cell_angle_alpha 90.00
_cell_angle_beta 134.51
_cell_angle_gamma 90.00
_symmetry_space_group_name_H-M 'C 1 2/c 1'
_symmetry_Int_Tables_number 15
_symmetry_space_group_name_Hall '-C 2yc'
loop_
_atom_site_label
_atom_site_type_symbol
_atom_site_fract_x
_atom_site_fract_y
_atom_site_fract_z
Sr1 Sr 0.000 0.000 0.000
Sr2 Sr 0.250 0.250 0.000
Cd1 Cd 0.000 0.500 0.000
Co1 Co 0.250 0.250 0.500
O1 O 0.004 0.255 0.487
O2 O 0.244 0.481 0.496
```

Largest 10 diffraction maxima, in order of rising 2θ, 10° ≤ 2θ ≤ 80°:
two_theta, I_rel, hkl
31.77, 100, 2 2 0
31.87, 100, 2 2 -2
36.36, 74, 0 0 2
36.82, 71, 4 0 -2
37.52, 66, 0 4 0
52.58, 24, 4 0 0
52.85, 23, 4 0 -4
53.24, 45, 0 4 2
53.58, 44, 4 4 -2
64.15, 29, 2 6 -2